(1)
# Zr2SiSnTe2
Theoretical powder XRD pattern, Cu Kα. Input: a DFT-relaxed cell (GGA-PBE, OQMD).

Most intense lines, 2θ = 5–70°, by angle:
2θ (°)	I (rel.)	(hkl)
30.45	48	1 0 2
30.57	19	0 0 3
32.05	26	1 1 0
33.68	63	1 1 1
38.26	100	1 0 3
45.96	40	2 0 0
56.17	30	2 0 3
57.47	14	1 0 5
61.31	29	2 1 3
67.02	13	2 2 0

Cell and atoms:
```
Zr2SiSnTe2
1.0
3.950 0.000 0.000
0.000 3.950 0.000
0.000 0.000 8.773
Zr Si Sn Te
2 1 1 2
direct
0.000 0.500 0.246
0.500 0.000 0.754
0.000 0.000 0.500
0.500 0.500 0.500
0.000 0.500 0.881
0.500 0.000 0.119
```

(2)
# HoNbB
Theoretical powder XRD pattern, Cu Kα. Input: a DFT-relaxed cell (GGA-PBE, OQMD).

Most intense lines, 2θ = 5–70°, by angle:
2θ (°)	I (rel.)	(hkl)
20.04	7	0 0 1
24.69	5	1 0 0
32.00	100	1 0 1
35.19	44	1 1 0
40.72	15	0 0 2
50.62	15	2 0 0
54.90	26	1 1 2
61.15	31	2 1 1
66.90	13	2 0 2
68.66	11	1 0 3

Cell and atoms:
```
HoNbB
1.0
3.606 0.000 0.000
0.000 3.606 0.000
0.000 0.000 4.432
Ho Nb B
1 1 1
direct
0.000 0.000 0.000
0.500 0.500 0.500
0.500 0.500 0.000
```

(3)
# Cu7Ag3
Theoretical powder XRD pattern, Cu Kα. Input: a DFT-relaxed cell (GGA-PBE, OQMD).

Most intense lines, 2θ = 5–70°, by angle:
2θ (°)	I (rel.)	(hkl)
25.14	3	1 -1 0
29.14	3	0 1 1
41.03	49	1 1 1
41.15	100	1 0 -3
41.40	49	0 2 -2
47.58	31	1 -1 3
47.81	32	-1 2 1
48.37	30	2 1 -2
69.45	9	0 1 4
69.97	9	3 0 1

Cell and atoms:
```
Cu7Ag3
1.0
4.636 0.000 0.000
-0.814 4.564 0.000
-1.472 -2.573 6.467
Cu Ag
7 3
direct
0.000 0.000 0.000
0.070 0.175 0.674
0.190 0.386 0.393
0.289 0.588 0.107
0.484 0.979 0.488
0.780 0.598 0.585
0.910 0.797 0.303
0.365 0.779 0.784
0.596 0.188 0.202
0.703 0.399 0.891
```